Structure and simulated powder X-ray diffraction pattern of TbPaGe2O8 (a cell relaxed with PBE; Cu Kα (λ = 1.5418 Å)).
Kinematic intensities with the Lorentz-polarization factor, no thermal factor.

Crystal structure
```
data_TbPaGe2O8
_chemical_formula_sum 'Tb2 Pa2 Ge4 O16'
_symmetry_space_group_name_H-M 'I -4 m 2'
_symmetry_Int_Tables_number 119
_symmetry_space_group_name_Hall 'I -4 -2'
_cell_length_a 7.095
_cell_length_b 7.095
_cell_length_c 6.472
_cell_angle_alpha 90.00
_cell_angle_beta 90.00
_cell_angle_gamma 90.00
loop_
_atom_site_label
_atom_site_type_symbol
_atom_site_fract_x
_atom_site_fract_y
_atom_site_fract_z
Tb1 Tb 0.000 0.000 0.000
Pa1 Pa 0.000 0.500 0.250
Ge1 Ge 0.000 0.000 0.500
Ge2 Ge 0.000 0.500 0.750
O1 O 0.000 0.188 0.320
O2 O 0.000 0.319 0.939
```

Largest 10 diffraction maxima, low angle first, 2θ from 10° to 80°:
(hkl), 2θ/deg, Rel. int.
1 0 1, 18.56, 372
2 0 0, 25.10, 1000
1 1 2, 32.94, 796
2 2 0, 35.80, 254
3 1 2, 49.43, 642
4 0 0, 51.53, 159
4 2 0, 58.15, 156
3 3 2, 62.52, 185
2 0 4, 63.16, 142
5 1 2, 74.19, 153



Structure and simulated powder X-ray diffraction pattern of PaTl2GeO6 (a cell relaxed with PBE; Cu Kα (λ = 1.5418 Å)).
Kinematic intensities with the Lorentz-polarization factor, no thermal factor.

Crystal structure
```
data_PaTl2GeO6
_chemical_formula_sum 'Pa6 Tl12 Ge6 O36'
_symmetry_space_group_name_H-M 'R -3 m'
_symmetry_Int_Tables_number 166
_symmetry_space_group_name_Hall '-R 3 2"'
_cell_length_a 5.9388
_cell_length_b 5.9388
_cell_length_c 30.4309
_cell_angle_alpha 90.00
_cell_angle_beta 90.00
_cell_angle_gamma 120.00
loop_
_atom_site_label
_atom_site_type_symbol
_atom_site_fract_x
_atom_site_fract_y
_atom_site_fract_z
Pa1 Pa 0.0000 0.0000 0.0958
Tl1 Tl 0.0000 0.0000 0.2148
Tl2 Tl 0.0000 0.0000 0.3473
Ge1 Ge 0.0000 0.0000 0.0000
Ge2 Ge 0.0000 0.0000 0.5000
O1 O 0.0211 0.5105 0.2027
O2 O 0.0356 0.5178 0.6278
```

Largest 10 diffraction maxima, low angle first, 2θ from 10° to 80°:
(hkl), 2θ/deg, Rel. int.
0 0 9, 26.36, 222
1 0 7, 26.85, 647
1 1 0, 30.10, 1000
1 1 9, 40.43, 453
0 2 7, 40.77, 320
2 1 7, 51.50, 214
3 0 0, 53.45, 207
3 0 9, 60.55, 220
2 2 0, 62.56, 171
2 1 16, 69.09, 218



Structure and simulated powder X-ray diffraction pattern of GePb3O5 (a cell relaxed with PBE; Cu Kα (λ = 1.5418 Å)).
Kinematic intensities with the Lorentz-polarization factor, no thermal factor.

Crystal structure
```
data_GePb3O5
_chemical_formula_sum 'Ge2 Pb6 O10'
_symmetry_space_group_name_H-M 'P 1 21 1'
_symmetry_Int_Tables_number 4
_symmetry_space_group_name_Hall 'P 2yb'
_cell_length_a 5.428
_cell_length_b 10.708
_cell_length_c 5.655
_cell_angle_alpha 90.00
_cell_angle_beta 93.55
_cell_angle_gamma 90.00
loop_
_atom_site_label
_atom_site_type_symbol
_atom_site_fract_x
_atom_site_fract_y
_atom_site_fract_z
Ge1 Ge 0.031 0.000 0.443
Pb1 Pb 0.027 0.762 0.940
Pb2 Pb 0.480 0.278 0.504
Pb3 Pb 0.499 0.008 0.985
O1 O 0.076 0.163 0.464
O2 O 0.174 0.939 0.190
O3 O 0.176 0.919 0.691
O4 O 0.291 0.465 0.603
O5 O 0.371 0.315 0.108
```

Largest 10 diffraction maxima, low angle first, 2θ from 10° to 80°:
(hkl), 2θ/deg, Rel. int.
1 2 -1, 27.68, 1000
1 2 1, 28.85, 936
0 0 2, 31.71, 326
2 0 0, 33.07, 321
0 4 0, 33.48, 344
0 4 2, 46.77, 217
2 4 0, 47.77, 238
3 2 -1, 55.17, 140
1 6 1, 57.03, 173
3 2 1, 57.17, 245



Structure and simulated powder X-ray diffraction pattern of Ge2Pb2O5 (a cell relaxed with PBE; Cu Kα (λ = 1.5418 Å)).
Kinematic intensities with the Lorentz-polarization factor, no thermal factor.

Crystal structure
```
data_Ge2Pb2O5
_chemical_formula_sum 'Ge4 Pb4 O10'
_symmetry_space_group_name_H-M 'C 1 2/m 1'
_symmetry_Int_Tables_number 12
_symmetry_space_group_name_Hall '-C 2y'
_cell_length_a 14.948
_cell_length_b 3.195
_cell_length_c 7.210
_cell_angle_alpha 90.00
_cell_angle_beta 114.06
_cell_angle_gamma 90.00
loop_
_atom_site_label
_atom_site_type_symbol
_atom_site_fract_x
_atom_site_fract_y
_atom_site_fract_z
Ge1 Ge 0.124 0.000 0.035
Pb1 Pb 0.136 0.500 0.547
O1 O 0.000 0.000 0.000
O2 O 0.141 0.500 0.917
O3 O 0.196 0.000 0.299
```

Largest 10 diffraction maxima, low angle first, 2θ from 10° to 80°:
(hkl), 2θ/deg, Rel. int.
0 0 1, 13.45, 493
4 0 0, 26.12, 862
0 0 2, 27.09, 609
4 0 -2, 29.01, 544
1 1 -1, 30.62, 1000
3 1 -1, 33.79, 268
3 1 1, 39.97, 400
5 1 -1, 41.36, 280
1 1 -3, 48.49, 420
5 1 -3, 50.28, 277